Record 1
This entry pairs a crystal structure of Ba2MgNb6N2O14 with its theoretical X-ray diffraction stick pattern. Radiation: a wavelength of 1.5418 Å. Structure: a structure optimized by DFT (GGA-PBE).

Top 10 peaks for 15 to 90 degrees two-theta, in order of rising 2θ:
Position (°2θ), I/Imax
19.23, 72
21.46, 47
26.18, 100
28.12, 67
29.25, 74
29.83, 58
30.26, 58
30.96, 43
31.23, 67
44.97, 80

Structural model:
```
data_Ba2MgNb6N2O14
_space_group_name_H-M_alt 'P 1'
_space_group_IT_number 1
_cell_length_a 4.0318
_cell_length_b 9.3030
_cell_length_c 9.9770
_cell_angle_alpha 82.51
_cell_angle_beta 89.49
_cell_angle_gamma 89.29
loop_
_space_group_symop_operation_xyz
'x,y,z'
loop_
_atom_site_label
_atom_site_fract_x
_atom_site_fract_y
_atom_site_fract_z
Ba1 0.0000 0.0000 0.0000
Ba2 0.4483 0.4049 0.7335
Mg1 0.5404 0.8064 0.7403
Nb1 0.4781 0.9407 0.3547
Nb2 0.4955 0.6643 0.0981
Nb3 0.4974 0.3003 0.0901
Nb4 0.9628 0.0866 0.5798
Nb5 0.9809 0.7158 0.5208
Nb6 0.9956 0.4150 0.2844
N1 0.4825 0.8060 0.2226
N2 0.9765 0.9278 0.4202
O1 0.4731 0.7563 0.5413
O2 0.4777 0.0683 0.5560
O3 0.4925 0.1109 0.2312
O4 0.4926 0.4819 0.9773
O5 0.4949 0.1842 0.9449
O6 0.4956 0.4555 0.2537
O7 0.4974 0.8001 0.9383
O8 0.9203 0.6245 0.7037
O9 0.9576 0.2319 0.6910
O10 0.9929 0.5579 0.4251
O11 0.9940 0.2550 0.4112
O12 0.9935 0.6167 0.1266
O13 0.9948 0.9148 0.7146
O14 0.9960 0.2875 0.1115
```

---

Record 2
This entry pairs a crystal structure of Ba2MgNb6N2O14 with its theoretical X-ray diffraction stick pattern. Radiation: a wavelength of 1.5418 Å. Structure: a structure optimized by DFT (GGA-PBE).

Top 10 peaks for 15 to 90 degrees two-theta, in order of rising 2θ:
Position (°2θ), I/Imax
25.98, 67
26.58, 62
27.19, 100
27.41, 90
29.95, 45
30.08, 63
32.22, 74
39.42, 48
40.34, 58
44.56, 74

Structural model:
```
data_Ba2MgNb6N2O14
_space_group_name_H-M_alt 'P 1'
_space_group_IT_number 1
_cell_length_a 4.0670
_cell_length_b 8.9405
_cell_length_c 10.6136
_cell_angle_alpha 91.27
_cell_angle_beta 101.04
_cell_angle_gamma 90.01
loop_
_space_group_symop_operation_xyz
'x,y,z'
loop_
_atom_site_label
_atom_site_fract_x
_atom_site_fract_y
_atom_site_fract_z
Ba1 0.0000 0.0000 0.0000
Ba2 0.1530 0.4881 0.3050
Mg1 0.6327 0.0056 0.2664
Nb1 0.3670 0.9910 0.7339
Nb2 0.5026 0.3184 0.0057
Nb3 0.5045 0.6763 0.0085
Nb4 0.7737 0.7897 0.5474
Nb5 0.7778 0.1971 0.5547
Nb6 0.9071 0.5106 0.8141
N1 0.4366 0.4952 0.8733
N2 0.8466 0.6573 0.6930
O1 0.0014 0.3226 0.0030
O2 0.2865 0.8353 0.5731
O3 0.2919 0.1570 0.5835
O4 0.4341 0.8436 0.8677
O5 0.4350 0.1503 0.8702
O6 0.5666 0.5035 0.1328
O7 0.5711 0.1660 0.1443
O8 0.5707 0.8424 0.1399
O9 0.7041 0.6628 0.4083
O10 0.7092 0.3178 0.4170
O11 0.7241 0.9975 0.4484
O12 0.8498 0.3352 0.6992
O13 0.8567 0.9960 0.7133
O14 0.9990 0.6708 0.9973
```

---

Record 3
This entry pairs a crystal structure of Ba2MgNb6N2O14 with its theoretical X-ray diffraction stick pattern. Radiation: a wavelength of 1.5418 Å. Structure: a structure optimized by DFT (GGA-PBE).

Top 10 peaks for 15 to 90 degrees two-theta, in order of rising 2θ:
Position (°2θ), I/Imax
17.08, 44
17.94, 48
26.52, 100
28.42, 96
29.27, 60
29.84, 65
30.70, 66
30.89, 90
41.22, 49
45.05, 71

Structural model:
```
data_Ba2MgNb6N2O14
_space_group_name_H-M_alt 'C 1 m 1'
_space_group_IT_number 8
_cell_length_a 21.1941
_cell_length_b 4.0251
_cell_length_c 9.1687
_cell_angle_alpha 90.00
_cell_angle_beta 101.53
_cell_angle_gamma 90.00
loop_
_space_group_symop_operation_xyz
'x,y,z'
'x,-y,z'
'x+1/2,y+1/2,z'
'x+1/2,-y+1/2,z'
loop_
_atom_site_label
_atom_site_fract_x
_atom_site_fract_y
_atom_site_fract_z
Ba1 0.0000 0.0000 0.0000
Ba2 0.1544 0.0000 0.3464
Mg1 0.1189 0.5000 0.6956
Nb1 0.2481 0.5000 0.0508
Nb2 0.2690 0.5000 0.6916
Nb3 0.3532 0.0000 0.9499
Nb4 0.3858 0.5000 0.4143
Nb5 0.4753 0.0000 0.6726
Nb6 0.4851 0.0000 0.3137
N1 0.3275 0.5000 0.9084
N2 0.4196 0.0000 0.1210
O1 0.0412 0.5000 0.5296
O2 0.0512 0.5000 0.8246
O3 0.0572 0.5000 0.2169
O4 0.1823 0.5000 0.5606
O5 0.1927 0.5000 0.1834
O6 0.1948 0.5000 0.8573
O7 0.2668 0.0000 0.0512
O8 0.2719 0.0000 0.7154
O9 0.3216 0.5000 0.5470
O10 0.3282 0.5000 0.2412
O11 0.4061 0.0000 0.4587
O12 0.4197 0.0000 0.8195
O13 0.4618 0.5000 0.6409
O14 0.4794 0.5000 0.3245
```

---

Record 4
This entry pairs a crystal structure of Ba4MgSi2N6 with its theoretical X-ray diffraction stick pattern. Radiation: a wavelength of 1.5418 Å. Structure: a structure optimized by DFT (GGA-PBE).

Top 10 peaks for 15 to 90 degrees two-theta, in order of rising 2θ:
Position (°2θ), I/Imax
17.22, 32
23.94, 29
27.23, 100
30.33, 87
31.14, 62
32.40, 57
34.47, 69
47.13, 52
55.67, 23
56.19, 28

Structural model:
```
data_Ba4MgSi2N6
_space_group_name_H-M_alt 'F d d d'
_space_group_IT_number 70
_cell_length_a 7.9728
_cell_length_b 11.4873
_cell_length_c 20.6038
_cell_angle_alpha 90.00
_cell_angle_beta 90.00
_cell_angle_gamma 90.00
loop_
_space_group_symop_operation_xyz
'x,y,z'
'-x,-y,-z'
'-x+1/4,-y+1/4,z'
'x+1/4,y+1/4,-z'
'x,-y+1/4,-z+1/4'
'-x,y+1/4,z+1/4'
'-x+1/4,y,-z+1/4'
'x+1/4,-y,z+1/4'
'x,y+1/2,z+1/2'
'-x,-y+1/2,-z+1/2'
'-x+1/4,-y+3/4,z+1/2'
'x+1/4,y+3/4,-z+1/2'
'x,-y+3/4,-z+3/4'
'-x,y+3/4,z+3/4'
'-x+1/4,y+1/2,-z+3/4'
'x+1/4,-y+1/2,z+3/4'
'x+1/2,y,z+1/2'
'-x+1/2,-y,-z+1/2'
'-x+3/4,-y+1/4,z+1/2'
'x+3/4,y+1/4,-z+1/2'
'x+1/2,-y+1/4,-z+3/4'
'-x+1/2,y+1/4,z+3/4'
'-x+3/4,y,-z+3/4'
'x+3/4,-y,z+3/4'
'x+1/2,y+1/2,z'
'-x+1/2,-y+1/2,-z'
'-x+3/4,-y+3/4,z'
'x+3/4,y+3/4,-z'
'x+1/2,-y+3/4,-z+1/4'
'-x+1/2,y+3/4,z+1/4'
'-x+3/4,y+1/2,-z+1/4'
'x+3/4,-y+1/2,z+1/4'
loop_
_atom_site_label
_atom_site_fract_x
_atom_site_fract_y
_atom_site_fract_z
Ba1 0.1250 0.1250 0.2750
Ba2 0.1250 0.1250 0.4564
Mg1 0.1250 0.1250 0.6250
Si1 0.0328 0.3750 0.3750
N1 0.0859 0.3707 0.9431
N2 0.1250 0.0100 0.1250
```

---

Record 5
This entry pairs a crystal structure of BaNaMg14 with its theoretical X-ray diffraction stick pattern. Radiation: a wavelength of 1.5418 Å. Structure: a structure optimized by DFT (GGA-PBE).

Top 10 peaks for 15 to 90 degrees two-theta, in order of rising 2θ:
Position (°2θ), I/Imax
15.12, 17
17.33, 31
22.73, 19
30.51, 27
34.14, 23
35.07, 100
46.43, 18
54.21, 22
61.72, 18
65.65, 19

Structural model:
```
data_BaNaMg14
_space_group_name_H-M_alt 'P -6 m 2'
_space_group_IT_number 187
_space_group_name_Hall 'P -6 2'
_cell_length_a 6.7664
_cell_length_b 6.7664
_cell_length_c 10.5065
_cell_angle_alpha 90.00
_cell_angle_beta 90.00
_cell_angle_gamma 120.00
loop_
_atom_site_label
_atom_site_fract_x
_atom_site_fract_y
_atom_site_fract_z
Ba1 0.0000 0.0000 0.0000
Na1 0.0000 0.0000 0.5000
Mg1 0.0004 0.5002 0.5000
Mg2 0.0121 0.5060 0.0000
Mg3 0.1743 0.3487 0.2593
Mg4 0.6667 0.3333 0.2468
```

---

Record 6
This entry pairs a crystal structure of BaNaMg6 with its theoretical X-ray diffraction stick pattern. Radiation: a wavelength of 1.5418 Å. Structure: a structure optimized by DFT (GGA-PBE).

Top 10 peaks for 15 to 90 degrees two-theta, in order of rising 2θ:
Position (°2θ), I/Imax
16.41, 23
21.90, 26
22.01, 53
29.36, 35
30.20, 20
33.18, 35
33.53, 55
33.82, 100
44.89, 21
62.81, 27

Structural model:
```
data_BaNaMg6
_space_group_name_H-M_alt 'A m m 2'
_space_group_IT_number 38
_cell_length_a 5.4003
_cell_length_b 6.9995
_cell_length_c 12.3013
_cell_angle_alpha 90.00
_cell_angle_beta 90.00
_cell_angle_gamma 90.00
loop_
_space_group_symop_operation_xyz
'x,y,z'
'-x,-y,z'
'-x,y,z'
'x,-y,z'
'x,y+1/2,z+1/2'
'-x,-y+1/2,z+1/2'
'-x,y+1/2,z+1/2'
'x,-y+1/2,z+1/2'
loop_
_atom_site_label
_atom_site_fract_x
_atom_site_fract_y
_atom_site_fract_z
Ba1 0.0000 0.0000 0.0000
Na1 0.5000 0.0000 0.1750
Mg1 0.0000 0.0000 0.4912
Mg2 0.0000 0.2493 0.7532
Mg3 0.5000 0.0000 0.6629
Mg4 0.5000 0.2291 0.4065
```